This entry pairs a crystal structure of Cr2AsP with its calculated powder XRD pattern. Radiation: a wavelength of 1.5418 Å. Structure: the GGA-PBE geometry in Alexandria.
Kinematic intensities with the Lorentz-polarization factor, no thermal factor.

Structure:
Cell: 8.278 3.033 4.262 Å, 90.00 105.11 90.00°
Element x y z (fractional)
Cr  0.000  0.000  0.000
Cr  0.221  0.000  0.618
Cr  0.500  0.500  0.000
Cr  0.721  0.500  0.618
As  0.484  0.000  0.482
As  0.984  0.500  0.482
P  0.228  0.500  0.101
P  0.728  0.000  0.101

Top 6 peaks for 2θ = 10–90°, by intensity:
40.3 deg, d = 2.240 Å, intensity 100.0, hkl 1 1 1
46.4 deg, d = 1.957 Å, intensity 74.7, hkl 3 1 -1
44.0 deg, d = 2.059 Å, intensity 53.8, hkl 2 0 -2
45.4 deg, d = 1.998 Å, intensity 42.4, hkl 4 0 0
36.8 deg, d = 2.443 Å, intensity 25.6, hkl 1 1 -1
76.1 deg, d = 1.251 Å, intensity 22.9, hkl 3 1 -3